Calculated powder XRD pattern of Cs2MoO4 for CuKα, from a GGA+U-relaxed structure.

Top 8 peaks for 10 to 80 degrees two-theta, sorted by position:
18.4°, 4.818 Å, intensity 59
22.5°, 3.947 Å, intensity 33
25.6°, 3.485 Å, intensity 37
27.8°, 3.207 Å, intensity 55
28.1°, 3.172 Å, intensity 100
30.3°, 2.947 Å, intensity 47
31.4°, 2.846 Å, intensity 22
36.1°, 2.489 Å, intensity 23

Structure:
Lattice parameters (Å, degrees): 13.270 6.414 8.740 90.00 90.00 90.00
Sites, in units of the cell vectors:
Cs  0.068  0.250  0.170
Cs  0.155  0.750  0.479
Cs  0.345  0.250  0.979
Cs  0.432  0.750  0.670
Cs  0.568  0.250  0.330
Cs  0.655  0.750  0.021
Cs  0.845  0.250  0.521
Cs  0.932  0.750  0.830
Mo  0.107  0.250  0.725
Mo  0.393  0.750  0.225
Mo  0.607  0.250  0.775
Mo  0.893  0.750  0.275
O  0.016  0.750  0.185
O  0.089  0.250  0.519
O  0.174  0.022  0.786
O  0.174  0.478  0.786
O  0.326  0.522  0.286
O  0.326  0.978  0.286
O  0.411  0.750  0.019
O  0.484  0.250  0.685
O  0.516  0.750  0.315
O  0.589  0.250  0.981
O  0.674  0.022  0.714
O  0.674  0.478  0.714
O  0.826  0.522  0.214
O  0.826  0.978  0.214
O  0.911  0.750  0.481
O  0.984  0.250  0.815

=====

Calculated powder XRD pattern of CsMo3O9 for CuKα, from a GGA+U-relaxed structure.

Top 8 peaks for 10 to 80 degrees two-theta, sorted by position:
10.5°, 8.404 Å, intensity 50
18.7°, 4.741 Å, intensity 22
24.4°, 3.647 Å, intensity 100
25.1°, 3.548 Å, intensity 58
27.3°, 3.270 Å, intensity 31
28.3°, 3.157 Å, intensity 63
28.9°, 3.085 Å, intensity 64
46.4°, 1.957 Å, intensity 25

Structure:
Lattice parameters (Å, degrees): 9.289 9.289 6.555 93.57 93.57 49.84
Sites, in units of the cell vectors:
Cs  0.202  0.202  0.325
Cs  0.798  0.798  0.675
Mo  0.189  0.710  0.230
Mo  0.290  0.811  0.770
Mo  0.393  0.393  0.859
Mo  0.607  0.607  0.141
Mo  0.710  0.189  0.230
Mo  0.811  0.290  0.770
O  0.033  0.033  0.795
O  0.086  0.616  0.285
O  0.190  0.665  0.910
O  0.242  0.758  0.500
O  0.302  0.302  0.967
O  0.335  0.810  0.090
O  0.368  0.368  0.598
O  0.384  0.914  0.715
O  0.466  0.466  0.190
O  0.534  0.534  0.810
O  0.616  0.086  0.285
O  0.632  0.632  0.402
O  0.665  0.190  0.910
O  0.698  0.698  0.033
O  0.758  0.242  0.500
O  0.810  0.335  0.090
O  0.914  0.384  0.715
O  0.967  0.967  0.205

=====

Calculated powder XRD pattern of Cs2Mo4O13 for CuKα, from a GGA+U-relaxed structure.

Top 8 peaks for 10 to 80 degrees two-theta, sorted by position:
11.4°, 7.730 Å, intensity 78
23.1°, 3.857 Å, intensity 100
24.6°, 3.613 Å, intensity 81
25.5°, 3.494 Å, intensity 50
26.7°, 3.338 Å, intensity 50
27.5°, 3.238 Å, intensity 43
28.1°, 3.173 Å, intensity 47
29.3°, 3.051 Å, intensity 49

Structure:
Lattice parameters (Å, degrees): 8.667 8.962 10.732 106.80 103.36 109.61
Sites, in units of the cell vectors:
Cs  0.083  0.133  0.304
Cs  0.353  0.806  0.589
Cs  0.647  0.194  0.411
Cs  0.917  0.867  0.696
Mo  0.126  0.437  0.736
Mo  0.149  0.708  0.049
Mo  0.467  0.290  0.967
Mo  0.497  0.584  0.285
Mo  0.503  0.416  0.715
Mo  0.533  0.710  0.033
Mo  0.851  0.292  0.951
Mo  0.874  0.563  0.264
O  0.002  0.783  0.368
O  0.018  0.538  0.659
O  0.019  0.771  0.948
O  0.021  0.430  0.888
O  0.272  0.896  0.201
O  0.299  0.696  0.930
O  0.311  0.486  0.663
O  0.350  0.073  0.857
O  0.352  0.397  0.872
O  0.352  0.490  0.357
O  0.361  0.620  0.137
O  0.388  0.201  0.592
O  0.392  0.312  0.110
O  0.608  0.688  0.890
O  0.612  0.799  0.408
O  0.639  0.380  0.863
O  0.648  0.510  0.643
O  0.648  0.603  0.128
O  0.650  0.927  0.143
O  0.689  0.514  0.337
O  0.701  0.304  0.070
O  0.728  0.104  0.799
O  0.979  0.570  0.112
O  0.981  0.229  0.052
O  0.982  0.462  0.341
O  0.998  0.217  0.632

=====

Calculated powder XRD pattern of Cs2MoO4 for CuKα, from a GGA+U-relaxed structure.

Top 8 peaks for 10 to 80 degrees two-theta, sorted by position:
22.6°, 3.941 Å, intensity 23
25.5°, 3.491 Å, intensity 37
25.7°, 3.470 Å, intensity 79
26.2°, 3.395 Å, intensity 100
26.7°, 3.340 Å, intensity 60
34.8°, 2.581 Å, intensity 24
37.3°, 2.413 Å, intensity 32
46.0°, 1.972 Å, intensity 24

Structure:
Lattice parameters (Å, degrees): 8.648 6.680 11.828 90.00 90.00 90.00
Sites, in units of the cell vectors:
Cs  0.009  0.250  0.207
Cs  0.172  0.750  0.415
Cs  0.328  0.250  0.915
Cs  0.491  0.750  0.707
Cs  0.509  0.250  0.293
Cs  0.672  0.750  0.085
Cs  0.828  0.250  0.585
Cs  0.991  0.750  0.793
Mo  0.226  0.750  0.079
Mo  0.274  0.250  0.579
Mo  0.726  0.750  0.421
Mo  0.774  0.250  0.921
O  0.019  0.750  0.082
O  0.202  0.029  0.649
O  0.202  0.471  0.649
O  0.205  0.250  0.435
O  0.295  0.750  0.935
O  0.298  0.529  0.149
O  0.298  0.971  0.149
O  0.481  0.250  0.582
O  0.519  0.750  0.418
O  0.702  0.029  0.851
O  0.702  0.471  0.851
O  0.705  0.250  0.065
O  0.795  0.750  0.565
O  0.798  0.529  0.351
O  0.798  0.971  0.351
O  0.981  0.250  0.918